(1)
Starting from the PBE geometry in Alexandria, the X-ray diffraction stick pattern of Cr2PtW was computed for λ = 1.5418 Å (Cu Kα).
Lines closer than 0.1° are merged.

Atomic structure:
```
data_Cr2PtW
_chemical_formula_sum 'Cr2 Pt1 W1'
_cell_length_a 2.673
_cell_length_b 3.896
_cell_length_c 5.410
_cell_angle_alpha 90.00
_cell_angle_beta 97.98
_cell_angle_gamma 90.00
_symmetry_space_group_name_H-M 'P 1 m 1'
_symmetry_Int_Tables_number 6
loop_
_symmetry_equiv_pos_as_xyz
'x,y,z'
'x,-y,z'
loop_
_atom_site_label
_atom_site_type_symbol
_atom_site_fract_x
_atom_site_fract_y
_atom_site_fract_z
Cr1 Cr 0.000 0.000 0.000
Cr2 Cr 0.367 0.500 0.199
Pt1 Pt 0.948 0.000 0.474
W1 W 0.533 0.500 0.748
```

Largest 10 diffraction maxima, in order of rising 2θ, 15 to 90 degrees two-theta:
(0 0 1), 2θ 16.5, I 49
(0 1 1), 2θ 28.3, I 58
(1 0 1), 2θ 40.0, I 24
(0 1 2), 2θ 40.9, I 100
(1 1 0), 2θ 41.2, I 91
(1 1 -1), 2θ 42.8, I 27
(1 0 -2), 2θ 44.7, I 40
(0 2 0), 2θ 46.6, I 37
(1 0 2), 2θ 51.8, I 19
(1 2 -2), 2θ 66.5, I 24

(2)
Starting from the PBE geometry in Alexandria, the X-ray diffraction stick pattern of Pu4Cr was computed for λ = 1.5418 Å (Cu Kα).
Lines closer than 0.1° are merged.

Atomic structure:
```
data_Pu4Cr
_chemical_formula_sum 'Pu4 Cr1'
_cell_length_a 5.039
_cell_length_b 5.039
_cell_length_c 5.039
_cell_angle_alpha 90.00
_cell_angle_beta 90.00
_cell_angle_gamma 90.00
_symmetry_space_group_name_H-M 'P m -3 m'
_symmetry_Int_Tables_number 221
_symmetry_space_group_name_Hall '-P 4 2 3'
loop_
_atom_site_label
_atom_site_type_symbol
_atom_site_fract_x
_atom_site_fract_y
_atom_site_fract_z
Pu1 Pu 0.000 0.000 0.000
Pu2 Pu 0.000 0.500 0.500
Cr1 Cr 0.500 0.500 0.500
```

Largest 10 diffraction maxima, in order of rising 2θ, 15 to 90 degrees two-theta:
(1 0 0), 2θ 17.6, I 1
(1 1 0), 2θ 25.0, I 1
(1 1 1), 2θ 30.7, I 100
(2 0 0), 2θ 35.6, I 65
(2 2 0), 2θ 51.3, I 47
(3 1 1), 2θ 61.0, I 46
(2 2 2), 2θ 64.0, I 16
(4 0 0), 2θ 75.5, I 8
(3 3 1), 2θ 83.7, I 20
(4 2 0), 2θ 86.4, I 22

(3)
Starting from the PBE geometry in Alexandria, the X-ray diffraction stick pattern of Rb3Pu2CrSe6 was computed for λ = 1.5418 Å (Cu Kα).
Lines closer than 0.1° are merged.

Atomic structure:
```
data_Rb3Pu2CrSe6
_chemical_formula_sum 'Rb6 Pu4 Cr2 Se12'
_cell_length_a 7.223
_cell_length_b 12.518
_cell_length_c 8.293
_cell_angle_alpha 90.00
_cell_angle_beta 106.96
_cell_angle_gamma 90.00
_symmetry_space_group_name_H-M 'C 1 2/m 1'
_symmetry_Int_Tables_number 12
loop_
_symmetry_equiv_pos_as_xyz
'x,y,z'
'-x,-y,-z'
'-x,y,-z'
'x,-y,z'
'x+1/2,y+1/2,z'
'-x+1/2,-y+1/2,-z'
'-x+1/2,y+1/2,-z'
'x+1/2,-y+1/2,z'
loop_
_atom_site_label
_atom_site_type_symbol
_atom_site_fract_x
_atom_site_fract_y
_atom_site_fract_z
Rb1 Rb 0.000 0.000 0.000
Rb2 Rb 0.000 0.330 0.000
Pu1 Pu 0.000 0.166 0.500
Cr1 Cr 0.000 0.500 0.500
Se1 Se 0.219 0.344 0.687
Se2 Se 0.250 0.000 0.689
```

Largest 10 diffraction maxima, in order of rising 2θ, 15 to 90 degrees two-theta:
(2 0 0), 2θ 25.8, I 10
(1 3 1), 2θ 28.9, I 100
(2 0 -3), 2θ 36.3, I 16
(2 0 2), 2θ 39.2, I 32
(0 6 0), 2θ 43.4, I 36
(1 3 3), 2θ 45.6, I 9
(1 3 -4), 2θ 49.1, I 9
(2 6 -2), 2θ 53.0, I 12
(4 0 -4), 2θ 59.9, I 10
(5 3 -3), 2θ 70.8, I 14

(4)
Starting from the PBE geometry in Alexandria, the X-ray diffraction stick pattern of PuCr2S4 was computed for λ = 1.5418 Å (Cu Kα).
Lines closer than 0.1° are merged.

Atomic structure:
```
data_PuCr2S4
_chemical_formula_sum 'Pu8 Cr16 S32'
_cell_length_a 7.809
_cell_length_b 11.532
_cell_length_c 11.572
_cell_angle_alpha 90.00
_cell_angle_beta 90.00
_cell_angle_gamma 90.00
_symmetry_space_group_name_H-M 'F d d d'
_symmetry_Int_Tables_number 70
loop_
_symmetry_equiv_pos_as_xyz
'x,y,z'
'-x,-y,-z'
'-x+1/4,-y+1/4,z'
'x+1/4,y+1/4,-z'
'x,-y+1/4,-z+1/4'
'-x,y+1/4,z+1/4'
'-x+1/4,y,-z+1/4'
'x+1/4,-y,z+1/4'
'x,y+1/2,z+1/2'
'-x,-y+1/2,-z+1/2'
'-x+1/4,-y+3/4,z+1/2'
'x+1/4,y+3/4,-z+1/2'
'x,-y+3/4,-z+3/4'
'-x,y+3/4,z+3/4'
'-x+1/4,y+1/2,-z+3/4'
'x+1/4,-y+1/2,z+3/4'
'x+1/2,y,z+1/2'
'-x+1/2,-y,-z+1/2'
'-x+3/4,-y+1/4,z+1/2'
'x+3/4,y+1/4,-z+1/2'
'x+1/2,-y+1/4,-z+3/4'
'-x+1/2,y+1/4,z+3/4'
'-x+3/4,y,-z+3/4'
'x+3/4,-y,z+3/4'
'x+1/2,y+1/2,z'
'-x+1/2,-y+1/2,-z'
'-x+3/4,-y+3/4,z'
'x+3/4,y+3/4,-z'
'x+1/2,-y+3/4,-z+1/4'
'-x+1/2,y+3/4,z+1/4'
'-x+3/4,y+1/2,-z+1/4'
'x+3/4,-y+1/2,z+1/4'
loop_
_atom_site_label
_atom_site_type_symbol
_atom_site_fract_x
_atom_site_fract_y
_atom_site_fract_z
Pu1 Pu 0.125 0.125 0.125
Cr1 Cr 0.000 0.000 0.500
S1 S 0.043 0.286 0.963
```

Largest 10 diffraction maxima, in order of rising 2θ, 15 to 90 degrees two-theta:
(1 1 1), 2θ 15.7, I 50
(0 2 2), 2θ 21.8, I 89
(1 3 1), 2θ 26.9, I 100
(2 2 0), 2θ 27.6, I 60
(1 3 3), 2θ 34.9, I 29
(3 1 1), 2θ 36.2, I 60
(1 1 5), 2θ 41.4, I 36
(1 5 1), 2θ 41.6, I 36
(2 4 2), 2θ 41.9, I 62
(0 4 4), 2θ 44.4, I 31

(5)
Starting from the PBE geometry in Alexandria, the X-ray diffraction stick pattern of PuTi2Cr was computed for λ = 1.5418 Å (Cu Kα).
Lines closer than 0.1° are merged.

Atomic structure:
```
data_PuTi2Cr
_chemical_formula_sum 'Pu1 Ti2 Cr1'
_cell_length_a 3.048
_cell_length_b 3.048
_cell_length_c 7.482
_cell_angle_alpha 90.00
_cell_angle_beta 90.00
_cell_angle_gamma 90.00
_symmetry_space_group_name_H-M 'P 4/m m m'
_symmetry_Int_Tables_number 123
_symmetry_space_group_name_Hall '-P 4 2'
loop_
_atom_site_label
_atom_site_type_symbol
_atom_site_fract_x
_atom_site_fract_y
_atom_site_fract_z
Pu1 Pu 0.000 0.000 0.000
Ti1 Ti 0.500 0.500 0.306
Cr1 Cr 0.000 0.000 0.500
```

Largest 10 diffraction maxima, in order of rising 2θ, 15 to 90 degrees two-theta:
(0 0 2), 2θ 23.8, I 29
(1 0 0), 2θ 29.3, I 28
(1 0 1), 2θ 31.7, I 56
(1 0 2), 2θ 38.1, I 100
(1 1 0), 2θ 41.9, I 43
(0 0 4), 2θ 48.7, I 27
(1 1 3), 2θ 56.4, I 17
(1 0 4), 2θ 57.8, I 17
(1 1 4), 2θ 66.2, I 22
(2 1 2), 2θ 74.0, I 28

(6)
Starting from the PBE geometry in Alexandria, the X-ray diffraction stick pattern of Rb2Cr3S6 was computed for λ = 1.5418 Å (Cu Kα).
Lines closer than 0.1° are merged.

Atomic structure:
```
data_Rb2Cr3S6
_chemical_formula_sum 'Rb4 Cr6 S12'
_cell_length_a 6.141
_cell_length_b 10.636
_cell_length_c 7.942
_cell_angle_alpha 90.00
_cell_angle_beta 104.95
_cell_angle_gamma 90.00
_symmetry_space_group_name_H-M 'C 1 2/m 1'
_symmetry_Int_Tables_number 12
loop_
_symmetry_equiv_pos_as_xyz
'x,y,z'
'-x,-y,-z'
'-x,y,-z'
'x,-y,z'
'x+1/2,y+1/2,z'
'-x+1/2,-y+1/2,-z'
'-x+1/2,y+1/2,-z'
'x+1/2,-y+1/2,z'
loop_
_atom_site_label
_atom_site_type_symbol
_atom_site_fract_x
_atom_site_fract_y
_atom_site_fract_z
Rb1 Rb 0.000 0.167 0.000
Cr1 Cr 0.000 0.000 0.500
Cr2 Cr 0.000 0.332 0.500
S1 S 0.220 0.500 0.667
S2 S 0.223 0.166 0.667
```

Largest 10 diffraction maxima, in order of rising 2θ, 15 to 90 degrees two-theta:
(0 0 2), 2θ 23.2, I 19
(2 0 0), 2θ 30.1, I 12
(1 3 1), 2θ 33.1, I 100
(0 0 3), 2θ 35.1, I 15
(2 0 2), 2θ 43.1, I 26
(1 3 3), 2θ 49.5, I 19
(0 6 0), 2θ 51.6, I 31
(4 0 0), 2θ 62.6, I 14
(2 0 4), 2θ 64.3, I 14
(4 6 0), 2θ 85.3, I 12